This entry pairs a crystal structure of Ba2Li with its computed powder diffractogram. Radiation: λ = 1.5418 Å (Cu Kα). Structure: a DFT-relaxed cell (GGA-PBE, Alexandria).

Cell and atoms:
Lattice parameters (Å, degrees): 6.135 6.135 6.135 60.00 60.00 60.00
Element x y z (fractional)
1 Ba 0.250 0.250 0.250
2 Ba 0.750 0.750 0.750
3 Li 0.000 0.000 0.000

Principal peaks in the range 2θ from 10° to 90°, by intensity:
2θ 20.47, I 100.0; 2θ 29.11, I 91.1; 2θ 46.83, I 44.7; 2θ 51.61, I 36.3; 2θ 35.85, I 32.1; 2θ 64.43, I 21.7; 2θ 83.35, I 18.7; 2θ 41.64, I 17.0